Al3Re: simulated X-ray diffraction stick pattern (copper Kα), based on a GGA-PBE-relaxed structure.
Peak positions follow from Bragg's law for the DFT cell and can differ from measured ones.

Atomic structure:
Unit cell a=7.4163 b=7.4163 c=8.1444 alpha=90.00 beta=90.00 gamma=120.00
Space group P-3c1 (No. 165)
Symmetry-distinct sites (fractional):
Al 0.0000 0.0000 0.2500
Al 0.0138 0.3407 0.4231
Al 0.3333 0.6667 0.2305
Re 0.0000 0.3340 0.7500

Peak list (10 most intense, 2θ from 15° to 90°, low angle first)
index	2theta	d_spacing	I_rel
0 0 2	21.83	4.072	46
1 1 0	24.00	3.708	28
1 1 1	26.41	3.375	100
1 1 3	41.21	2.191	70
3 0 0	42.21	2.141	54
3 0 2	48.01	1.895	35
2 2 1	50.48	1.808	18
2 2 3	60.47	1.531	22
3 0 4	63.00	1.475	17
4 1 3	76.49	1.245	23


Au4IBr3: simulated X-ray diffraction stick pattern (copper Kα), based on a GGA-PBE-relaxed structure.
Peak positions follow from Bragg's law for the DFT cell and can differ from measured ones.

Atomic structure:
Unit cell a=6.054 b=6.096 c=12.549 alpha=90.00 beta=90.00 gamma=90.00
Space group Cmm2 (No. 35)
Symmetry-distinct sites (fractional):
Au 0.000 0.249 0.000
Au 0.246 0.500 0.496
I 0.000 0.000 0.664
Br 0.000 0.000 0.156
Br 0.000 0.500 0.335
Br 0.000 0.500 0.844

Peak list (10 most intense, 2θ from 15° to 90°, low angle first)
index	2theta	d_spacing	I_rel
1 1 2	25.12	3.545	56
0 0 4	28.45	3.137	28
0 2 1	30.17	2.962	100
2 0 1	30.37	2.943	91
0 2 3	36.47	2.463	52
2 0 3	36.64	2.452	65
0 0 6	43.26	2.092	38
2 2 2	44.59	2.032	98
0 2 5	46.89	1.938	34
2 2 4	51.57	1.772	72


Cu3Ag: simulated X-ray diffraction stick pattern (copper Kα), based on a GGA-PBE-relaxed structure.
Peak positions follow from Bragg's law for the DFT cell and can differ from measured ones.

Atomic structure:
Unit cell a=8.534 b=3.688 c=7.521 alpha=90.00 beta=115.40 gamma=90.00
Space group C2/m (No. 12)
Symmetry-distinct sites (fractional):
Cu 0.124 0.000 0.170
Cu 0.128 0.500 0.945
Cu 0.133 0.000 0.712
Ag 0.119 0.500 0.425

Peak list (10 most intense, 2θ from 15° to 90°, low angle first)
index	2theta	d_spacing	I_rel
1 1 2	41.36	2.183	99
3 1 -2	41.72	2.165	100
4 0 0	47.16	1.927	34
2 0 -4	48.42	1.880	28
0 2 0	49.43	1.844	30
4 2 0	70.71	1.332	19
2 2 -4	71.69	1.316	16
5 1 2	83.41	1.159	11
7 1 -2	84.14	1.151	12
3 3 -2	87.30	1.117	11


LaNdAg2Sb2As2: simulated X-ray diffraction stick pattern (copper Kα), based on a GGA-PBE-relaxed structure.
Peak positions follow from Bragg's law for the DFT cell and can differ from measured ones.

Atomic structure:
Unit cell a=4.270 b=4.270 c=10.745 alpha=90.00 beta=90.00 gamma=90.00
Space group P4mm (No. 99)
Symmetry-distinct sites (fractional):
La 0.000 0.000 0.000
Nd 0.500 0.500 0.435
Ag 0.000 0.500 0.714
Sb 0.000 0.000 0.535
Sb 0.500 0.500 0.893
As 0.000 0.500 0.221

Peak list (10 most intense, 2θ from 15° to 90°, low angle first)
index	2theta	d_spacing	I_rel
1 0 2	26.67	3.343	27
0 0 4	33.36	2.686	12
1 1 2	34.06	2.632	100
1 0 4	39.64	2.274	20
2 0 0	42.34	2.135	35
2 1 2	50.74	1.799	9
2 0 4	54.94	1.671	11
2 1 4	59.39	1.556	12
2 2 0	61.42	1.510	11
3 1 2	72.14	1.309	22


LuNiAgPb: simulated X-ray diffraction stick pattern (copper Kα), based on a GGA-PBE-relaxed structure.
Peak positions follow from Bragg's law for the DFT cell and can differ from measured ones.

Atomic structure:
Unit cell a=6.808 b=6.808 c=6.808 alpha=90.00 beta=90.00 gamma=90.00
Space group F-43m (No. 216)
Symmetry-distinct sites (fractional):
Lu 0.000 0.000 0.000
Ni 0.000 0.000 0.500
Ag 0.250 0.250 0.750
Pb 0.250 0.250 0.250

Peak list (10 most intense, 2θ from 15° to 90°, low angle first)
index	2theta	d_spacing	I_rel
1 1 1	22.62	3.930	15
2 0 0	26.18	3.404	2
2 2 0	37.36	2.407	100
3 1 1	44.12	2.053	8
4 0 0	53.87	1.702	17
3 3 1	59.16	1.562	4
4 2 2	67.39	1.390	35
5 1 1	72.09	1.310	3
4 4 0	79.68	1.203	11
5 3 1	84.13	1.151	3


Sb5Mo3Au: simulated X-ray diffraction stick pattern (copper Kα), based on a GGA-PBE-relaxed structure.
Peak positions follow from Bragg's law for the DFT cell and can differ from measured ones.

Atomic structure:
Unit cell a=5.5230 b=5.5230 c=8.2528 alpha=90.00 beta=90.00 gamma=120.00
Space group P6/mmm (No. 191)
Symmetry-distinct sites (fractional):
Sb 0.0000 0.0000 0.0000
Sb 0.3333 0.6667 0.2912
Mo 0.0000 0.5000 0.0000
Au 0.0000 0.0000 0.5000

Peak list (10 most intense, 2θ from 15° to 90°, low angle first)
index	2theta	d_spacing	I_rel
1 0 2	28.57	3.124	88
1 1 0	32.42	2.762	84
1 1 1	34.24	2.619	26
1 0 3	37.72	2.385	27
2 0 1	39.23	2.296	23
2 0 2	43.75	2.069	100
0 0 4	43.88	2.063	18
2 1 2	55.49	1.656	28
2 2 0	67.88	1.381	25
2 2 4	84.37	1.148	32


B4Os: simulated X-ray diffraction stick pattern (copper Kα), based on a GGA-PBE-relaxed structure.
Peak positions follow from Bragg's law for the DFT cell and can differ from measured ones.

Atomic structure:
Unit cell a=4.729 b=5.555 c=3.218 alpha=90.00 beta=90.00 gamma=90.00
Space group Pnnm (No. 58)
Symmetry-distinct sites (fractional):
B 0.163 0.125 0.000
B 0.240 0.825 0.000
Os 0.000 0.500 0.000

Peak list (10 most intense, 2θ from 15° to 90°, low angle first)
index	2theta	d_spacing	I_rel
1 1 0	24.73	3.601	100
0 2 0	32.18	2.782	70
1 0 1	33.69	2.660	55
2 0 0	38.06	2.364	14
1 2 1	47.32	1.921	39
2 1 1	50.67	1.802	53
1 3 0	53.12	1.724	15
0 3 1	57.42	1.605	14
1 1 2	63.31	1.469	16
2 2 2	79.96	1.200	13


NaAgH2S2O4: simulated X-ray diffraction stick pattern (copper Kα), based on a GGA-PBE-relaxed structure.
Peak positions follow from Bragg's law for the DFT cell and can differ from measured ones.

Atomic structure:
Unit cell a=7.714 b=8.989 c=7.677 alpha=90.00 beta=96.69 gamma=90.00
Space group Pc (No. 7)
Symmetry-distinct sites (fractional):
Na 0.000 0.015 0.000
Na 0.493 0.058 0.512
Ag 0.025 0.436 0.040
Ag 0.531 0.455 0.841
H 0.157 0.207 0.303
H 0.291 0.200 0.167
H 0.680 0.179 0.823
H 0.784 0.224 0.672
S 0.200 0.204 0.731
S 0.210 0.428 0.793
S 0.704 0.205 0.199
S 0.722 0.426 0.128
O 0.020 0.153 0.748
O 0.165 0.194 0.178
O 0.237 0.187 0.546
O 0.330 0.127 0.853
O 0.526 0.178 0.245
O 0.664 0.213 0.700
O 0.733 0.114 0.042
O 0.838 0.178 0.347

Peak list (10 most intense, 2θ from 15° to 90°, low angle first)
index	2theta	d_spacing	I_rel
1 1 1	19.97	4.445	42
0 2 1	22.97	3.872	51
2 0 0	23.22	3.831	46
2 1 0	25.27	3.524	51
1 1 -2	26.78	3.329	61
1 1 2	29.10	3.069	64
0 3 0	29.82	2.996	48
2 2 0	30.69	2.913	100
1 2 -2	31.92	2.804	42
0 3 1	32.09	2.789	47


MgZnSiIr: simulated X-ray diffraction stick pattern (copper Kα), based on a GGA-PBE-relaxed structure.
Peak positions follow from Bragg's law for the DFT cell and can differ from measured ones.

Atomic structure:
Unit cell a=4.1285 b=4.1285 c=8.5697 alpha=90.00 beta=90.00 gamma=120.00
Space group P-6m2 (No. 187)
Symmetry-distinct sites (fractional):
Mg 0.0000 0.0000 0.1778
Zn 0.3333 0.6667 0.3318
Si 0.6667 0.3333 0.0000
Si 0.6667 0.3333 0.5000
Ir 0.0000 0.0000 0.5000
Ir 0.3333 0.6667 0.0000

Peak list (10 most intense, 2θ from 15° to 90°, low angle first)
index	2theta	d_spacing	I_rel
0 0 2	20.73	4.285	41
1 0 0	24.90	3.575	42
1 0 1	27.02	3.300	71
1 0 3	40.42	2.232	100
1 1 0	43.86	2.064	63
1 1 2	48.98	1.860	26
2 0 3	61.16	1.515	29
1 1 4	62.48	1.487	15
2 1 3	78.26	1.222	28
1 1 6	82.05	1.175	20


NdHoSn2Au2: simulated X-ray diffraction stick pattern (copper Kα), based on a GGA-PBE-relaxed structure.
Peak positions follow from Bragg's law for the DFT cell and can differ from measured ones.

Atomic structure:
Unit cell a=4.7362 b=4.7362 c=7.5224 alpha=90.00 beta=90.00 gamma=120.00
Space group P3m1 (No. 156)
Symmetry-distinct sites (fractional):
Nd 0.0000 0.0000 0.0000
Ho 0.0000 0.0000 0.5020
Sn 0.3333 0.6667 0.7715
Sn 0.6667 0.3333 0.2803
Au 0.3333 0.6667 0.1948
Au 0.6667 0.3333 0.6681

Peak list (10 most intense, 2θ from 15° to 90°, low angle first)
index	2theta	d_spacing	I_rel
0 1 1	24.72	3.601	26
1 0 2	32.29	2.772	100
1 1 0	38.00	2.368	92
0 1 3	42.24	2.139	29
0 2 2	50.70	1.801	29
1 1 4	63.13	1.473	11
2 1 2	65.08	1.433	27
0 1 5	66.16	1.412	12
3 0 0	68.65	1.367	17
1 2 3	71.56	1.319	13


DyEr4Hg5: simulated X-ray diffraction stick pattern (copper Kα), based on a GGA-PBE-relaxed structure.
Peak positions follow from Bragg's law for the DFT cell and can differ from measured ones.

Atomic structure:
Unit cell a=3.682 b=3.682 c=18.458 alpha=90.00 beta=90.00 gamma=90.00
Space group P4/mmm (No. 123)
Symmetry-distinct sites (fractional):
Dy 0.000 0.000 0.000
Er 0.000 0.000 0.201
Er 0.000 0.000 0.400
Hg 0.500 0.500 0.102
Hg 0.500 0.500 0.301
Hg 0.500 0.500 0.500

Peak list (9 most intense, 2θ from 15° to 90°, low angle first)
index	2theta	d_spacing	I_rel
1 0 0	24.15	3.685	1
1 1 0	34.42	2.606	100
0 0 10	49.37	1.846	6
2 0 0	49.51	1.841	12
2 1 5	61.65	1.504	38
2 0 10	72.52	1.303	8
2 2 0	72.63	1.302	4
1 0 15	82.69	1.167	6
3 1 0	82.91	1.164	11


Cd7Hg: simulated X-ray diffraction stick pattern (copper Kα), based on a GGA-PBE-relaxed structure.
Peak positions follow from Bragg's law for the DFT cell and can differ from measured ones.

Atomic structure:
Unit cell a=6.3074 b=6.3074 c=5.0769 alpha=90.00 beta=90.00 gamma=120.00
Space group P-6m2 (No. 187)
Symmetry-distinct sites (fractional):
Cd 0.0000 0.0000 0.0000
Cd 0.3333 0.1667 0.5000
Cd 0.5007 0.0015 0.0000
Hg 0.3333 0.6667 0.5000

Peak list (10 most intense, 2θ from 15° to 90°, low angle first)
index	2theta	d_spacing	I_rel
1 0 0	16.23	5.462	3
2 0 0	32.79	2.731	24
0 0 2	35.36	2.538	26
2 0 1	37.39	2.405	100
2 0 2	48.99	1.859	15
2 2 0	58.54	1.577	17
2 0 3	64.81	1.439	19
2 2 2	70.28	1.339	20
4 0 1	71.55	1.319	14
4 0 2	79.74	1.203	4